No. 1
Computed PXRD pattern of U2Ga8Ru for copper Kα, from DFT lattice parameters and positions (PBE).
Kinematic intensities with the Lorentz-polarization factor, no thermal factor.

Main lines, most intense first (10 to 90 degrees two-theta):
2θ = 38.42°, intensity 100; 2θ = 42.01°, intensity 52; 2θ = 20.65°, intensity 40; 2θ = 33.66°, intensity 36; 2θ = 74.37°, intensity 29; 2θ = 32.04°, intensity 24; 2θ = 60.11°, intensity 19; 2θ = 60.92°, intensity 17; 2θ = 40.94°, intensity 15; 2θ = 75.80°, intensity 12

Atomic structure:
abc: 4.3010 4.3010 11.0220
angles: 90.00 90.00 90.00
Fractional coordinates of all 11 atoms:
U: 0.0000 0.0000 0.1911
U: 0.0000 0.0000 0.8089
Ga: 0.0000 0.5000 0.0000
Ga: 0.0000 0.5000 0.3767
Ga: 0.0000 0.5000 0.6233
Ga: 0.5000 0.0000 0.0000
Ga: 0.5000 0.0000 0.3767
Ga: 0.5000 0.0000 0.6233
Ga: 0.5000 0.5000 0.1910
Ga: 0.5000 0.5000 0.8090
Ru: 0.0000 0.0000 0.5000

---

No. 2
Computed PXRD pattern of Tb2MgSe4 for copper Kα, from DFT lattice parameters and positions (PBE).
Kinematic intensities with the Lorentz-polarization factor, no thermal factor.

Main lines, most intense first (10 to 90 degrees two-theta):
2θ = 24.07°, intensity 100; 2θ = 19.56°, intensity 84; 2θ = 41.65°, intensity 83; 2θ = 29.50°, intensity 63; 2θ = 44.71°, intensity 54; 2θ = 23.77°, intensity 43; 2θ = 41.52°, intensity 42; 2θ = 25.20°, intensity 34; 2θ = 33.95°, intensity 28; 2θ = 44.85°, intensity 27

Atomic structure:
abc: 7.5042 8.6998 13.8606
angles: 80.79 84.54 89.98
Fractional coordinates of all 28 atoms:
Tb: 0.1315 0.4442 0.2003
Tb: 0.1325 0.9560 0.1969
Tb: 0.2588 0.1266 0.4993
Tb: 0.3643 0.3003 0.8012
Tb: 0.6357 0.6997 0.1988
Tb: 0.7412 0.8734 0.5007
Tb: 0.8675 0.0440 0.8031
Tb: 0.8685 0.5558 0.7997
Mg: 0.2511 0.6230 0.5033
Mg: 0.3671 0.8005 0.7974
Mg: 0.6329 0.1995 0.2026
Mg: 0.7489 0.3770 0.4967
Se: 0.0954 0.4073 0.3989
Se: 0.1057 0.8954 0.3964
Se: 0.1944 0.5429 0.8732
Se: 0.1958 0.0201 0.8737
Se: 0.3102 0.7189 0.1223
Se: 0.3298 0.2194 0.1254
Se: 0.3920 0.8434 0.6088
Se: 0.4063 0.3557 0.6023
Se: 0.5937 0.6443 0.3977
Se: 0.6080 0.1566 0.3912
Se: 0.6702 0.7806 0.8746
Se: 0.6898 0.2811 0.8777
Se: 0.8042 0.9799 0.1263
Se: 0.8056 0.4571 0.1268
Se: 0.8943 0.1046 0.6036
Se: 0.9046 0.5927 0.6011

---

No. 3
Computed PXRD pattern of VPt for copper Kα, from DFT lattice parameters and positions (PBE).
Kinematic intensities with the Lorentz-polarization factor, no thermal factor.

Main lines, most intense first (10 to 90 degrees two-theta):
2θ = 40.53°, intensity 100; 2θ = 22.70°, intensity 37; 2θ = 47.55°, intensity 32; 2θ = 33.13°, intensity 29; 2θ = 83.69°, intensity 24; 2θ = 68.58°, intensity 21; 2θ = 46.35°, intensity 17; 2θ = 53.31°, intensity 16; 2θ = 81.92°, intensity 13; 2θ = 58.15°, intensity 13

Atomic structure:
abc: 2.7043 2.7043 3.9178
angles: 90.00 90.00 90.00
Fractional coordinates of all 2 atoms:
V: 0.0000 0.0000 0.0000
Pt: 0.5000 0.5000 0.5000

---

No. 4
Computed PXRD pattern of NdAl10Ru2 for copper Kα, from DFT lattice parameters and positions (PBE).
Kinematic intensities with the Lorentz-polarization factor, no thermal factor.

Main lines, most intense first (10 to 90 degrees two-theta):
2θ = 40.11°, intensity 100; 2θ = 39.44°, intensity 84; 2θ = 27.49°, intensity 54; 2θ = 17.19°, intensity 38; 2θ = 39.13°, intensity 33; 2θ = 33.98°, intensity 29; 2θ = 36.41°, intensity 26; 2θ = 57.48°, intensity 25; 2θ = 27.82°, intensity 25; 2θ = 71.52°, intensity 23

Atomic structure:
abc: 6.8925 6.8925 9.2093
angles: 90.00 90.00 96.90
Fractional coordinates of all 26 atoms:
Nd: 0.1246 0.8754 0.7500
Nd: 0.8754 0.1246 0.2500
Al: 0.1382 0.4125 0.7500
Al: 0.1585 0.8415 0.1004
Al: 0.1585 0.8415 0.3996
Al: 0.2229 0.4813 0.2500
Al: 0.2286 0.2286 0.0000
Al: 0.2286 0.2286 0.5000
Al: 0.3770 0.6230 0.5485
Al: 0.3770 0.6230 0.9515
Al: 0.4125 0.1382 0.2500
Al: 0.4813 0.2229 0.7500
Al: 0.5187 0.7771 0.2500
Al: 0.5875 0.8618 0.7500
Al: 0.6230 0.3770 0.0485
Al: 0.6230 0.3770 0.4515
Al: 0.7714 0.7714 0.0000
Al: 0.7714 0.7714 0.5000
Al: 0.7771 0.5187 0.7500
Al: 0.8415 0.1585 0.6004
Al: 0.8415 0.1585 0.8996
Al: 0.8618 0.5875 0.2500
Ru: 0.0000 0.5000 0.0000
Ru: 0.0000 0.5000 0.5000
Ru: 0.5000 0.0000 0.0000
Ru: 0.5000 0.0000 0.5000

---

No. 5
Computed PXRD pattern of SiO2 for copper Kα, from DFT lattice parameters and positions (PBE).
Kinematic intensities with the Lorentz-polarization factor, no thermal factor.

Main lines, most intense first (10 to 90 degrees two-theta):
2θ = 20.97°, intensity 100; 2θ = 37.87°, intensity 14; 2θ = 39.36°, intensity 10; 2θ = 64.23°, intensity 9; 2θ = 61.46°, intensity 8; 2θ = 28.56°, intensity 8; 2θ = 42.68°, intensity 6; 2θ = 49.89°, intensity 6; 2θ = 48.26°, intensity 5; 2θ = 66.17°, intensity 4

Atomic structure:
abc: 5.7620 6.2509 4.7293
angles: 90.00 90.00 90.00
Fractional coordinates of all 12 atoms:
Si: 0.0000 0.0000 0.2500
Si: 0.0000 0.0000 0.7500
Si: 0.5000 0.5000 0.2500
Si: 0.5000 0.5000 0.7500
O: 0.1472 0.1326 0.0000
O: 0.1472 0.8674 0.5000
O: 0.3528 0.3674 0.5000
O: 0.3528 0.6326 0.0000
O: 0.6472 0.3674 0.0000
O: 0.6472 0.6326 0.5000
O: 0.8528 0.1326 0.5000
O: 0.8528 0.8674 0.0000

---

No. 6
Computed PXRD pattern of CuI2O6 for copper Kα, from DFT lattice parameters and positions (PBE).
Kinematic intensities with the Lorentz-polarization factor, no thermal factor.

Main lines, most intense first (10 to 90 degrees two-theta):
2θ = 25.10°, intensity 100; 2θ = 24.50°, intensity 72; 2θ = 35.19°, intensity 35; 2θ = 35.53°, intensity 30; 2θ = 27.04°, intensity 22; 2θ = 30.55°, intensity 21; 2θ = 46.64°, intensity 20; 2θ = 37.39°, intensity 19; 2θ = 51.54°, intensity 18; 2θ = 25.52°, intensity 18

Atomic structure:
abc: 5.1045 6.3441 8.3655
angles: 90.00 92.29 90.00
Fractional coordinates of all 18 atoms:
Cu: 0.0000 0.0000 0.0000
Cu: 0.0000 0.5000 0.0000
I: 0.0333 0.2500 0.6583
I: 0.4613 0.2500 0.2580
I: 0.5387 0.7500 0.7420
I: 0.9667 0.7500 0.3417
O: 0.1345 0.2500 0.8831
O: 0.2362 0.0300 0.1908
O: 0.2362 0.4700 0.1908
O: 0.2471 0.0340 0.5992
O: 0.2471 0.4660 0.5992
O: 0.3094 0.7500 0.9002
O: 0.6906 0.2500 0.0998
O: 0.7529 0.5340 0.4008
O: 0.7529 0.9660 0.4008
O: 0.7638 0.5300 0.8092
O: 0.7638 0.9700 0.8092
O: 0.8655 0.7500 0.1169

---

What is the formula in the first record? U2Ga8Ru